# CsMn2V2ClO7
Computed powder XRD pattern, Cu Kα (λ = 1.5418 Å). Input: a crystal structure in Alexandria, relaxed with GGA+U.
Intensities are scaled so that the largest is 100.

Principal peaks in the range 2θ = 10–90°, by angle:
22.8 deg, rel. 31, (0 1 1); 25.6 deg, rel. 100, (2 1 1); 28.3 deg, rel. 54, (4 1 0); 28.7 deg, rel. 52, (4 0 1); 31.7 deg, rel. 36, (0 2 0); 33.1 deg, rel. 27, (0 0 2); 38.8 deg, rel. 16, (2 1 2); 43.3 deg, rel. 21, (4 2 1); 44.1 deg, rel. 15, (4 1 2); 52.1 deg, rel. 15, (6 1 2)

Cell and atoms:
a = 15.194 Å, b = 5.650 Å, c = 5.406 Å
α = 90.00°, β = 90.00°, γ = 90.00°
Atoms (fractional coordinates):
Cs: 0.250 0.041 0.000
Cs: 0.750 0.959 0.000
Mn: 0.000 0.000 0.404
Mn: 0.000 0.500 0.021
Mn: 0.500 0.000 0.404
Mn: 0.500 0.500 0.021
V: 0.136 0.517 0.494
V: 0.364 0.517 0.494
V: 0.636 0.483 0.494
V: 0.864 0.483 0.494
Cl: 0.000 0.000 0.885
Cl: 0.500 0.000 0.885
O: 0.069 0.324 0.325
O: 0.113 0.502 0.803
O: 0.119 0.800 0.391
O: 0.250 0.427 0.444
O: 0.381 0.800 0.391
O: 0.387 0.502 0.803
O: 0.431 0.324 0.325
O: 0.569 0.676 0.325
O: 0.613 0.498 0.803
O: 0.619 0.200 0.391
O: 0.750 0.573 0.444
O: 0.881 0.200 0.391
O: 0.887 0.498 0.803
O: 0.931 0.676 0.325